# 1
For Lu2N3, the GGA-PBE geometry in OQMD gives the computed PXRD pattern in this record (Cu Kα X-rays).

Cell and atoms:
Cell: 9.150 9.150 9.150 Å, 109.47 109.47 109.47°
Atoms (fractional coordinates):
Lu1 0.000 0.000 0.000
Lu2 0.000 0.500 0.500
Lu3 0.030 0.780 0.250
Lu4 0.220 0.750 0.970
Lu5 0.250 0.030 0.780
Lu6 0.250 0.530 0.280
Lu7 0.280 0.250 0.530
Lu8 0.470 0.720 0.750
Lu9 0.500 0.000 0.500
Lu10 0.500 0.500 0.000
Lu11 0.530 0.280 0.250
Lu12 0.720 0.750 0.470
Lu13 0.750 0.470 0.720
Lu14 0.750 0.970 0.220
Lu15 0.780 0.250 0.030
Lu16 0.970 0.220 0.750
N1 0.011 0.472 0.740
N2 0.028 0.039 0.268
N3 0.039 0.268 0.028
N4 0.229 0.461 0.489
N5 0.232 0.271 0.760
N6 0.240 0.768 0.729
N7 0.260 0.989 0.528
N8 0.268 0.028 0.039
N9 0.271 0.760 0.232
N10 0.461 0.489 0.229
N11 0.472 0.740 0.011
N12 0.489 0.229 0.461
N13 0.511 0.771 0.539
N14 0.528 0.260 0.989
N15 0.539 0.511 0.771
N16 0.729 0.240 0.768
N17 0.732 0.972 0.961
N18 0.740 0.011 0.472
N19 0.760 0.232 0.271
N20 0.768 0.729 0.240
N21 0.771 0.539 0.511
N22 0.961 0.732 0.972
N23 0.972 0.961 0.732
N24 0.989 0.528 0.260

Largest 10 diffraction maxima, sorted by position, 2θ = 5–70°:
2θ/deg	Rel. int.
20.59	8.2
29.28	100.0
33.94	38.5
36.06	5.1
43.68	7.0
48.75	37.4
53.46	4.5
57.89	33.7
59.32	5.3
60.73	7.7

***

# 2
For DyAgTeSe, the GGA-PBE geometry in OQMD gives the computed PXRD pattern in this record (Cu Kα X-rays).

Cell and atoms:
Cell: 6.956 6.956 4.457 Å, 90.00 90.00 94.82°
Atoms (fractional coordinates):
Dy1 0.000 0.000 0.000
Dy2 0.500 0.500 0.378
Ag1 0.000 0.500 0.152
Ag2 0.500 0.000 0.152
Te1 0.207 0.793 0.491
Te2 0.793 0.207 0.491
Se1 0.299 0.299 0.903
Se2 0.701 0.701 0.903

Largest 10 diffraction maxima, sorted by position, 2θ = 5–70°:
2θ/deg	Rel. int.
23.73	37.9
26.51	41.2
27.56	73.9
32.73	100.0
34.44	76.3
35.05	68.1
36.08	48.9
38.24	56.5
44.15	73.9
52.83	31.3

***

# 3
For Cu7Ag3, the GGA-PBE geometry in OQMD gives the computed PXRD pattern in this record (Cu Kα X-rays).

Cell and atoms:
Cell: 2.764 2.764 17.878 Å, 90.00 90.00 90.00°
Atoms (fractional coordinates):
Cu1 0.000 0.000 0.000
Cu2 0.000 0.000 0.178
Cu3 0.000 0.000 0.393
Cu4 0.000 0.000 0.607
Cu5 0.500 0.500 0.089
Cu6 0.500 0.500 0.695
Cu7 0.500 0.500 0.911
Ag1 0.000 0.000 0.803
Ag2 0.500 0.500 0.286
Ag3 0.500 0.500 0.500

Largest 10 diffraction maxima, sorted by position, 2θ = 5–70°:
2θ/deg	Rel. int.
29.99	2.1
32.79	4.0
35.81	2.6
38.29	4.8
41.28	100.0
45.67	2.4
46.46	38.0
51.08	10.7
67.19	2.9
67.81	11.3

***

# 4
For Cs2AgAuBr4Cl2, the GGA-PBE geometry in OQMD gives the computed PXRD pattern in this record (Cu Kα X-rays).

Cell and atoms:
Cell: 7.921 7.921 7.921 Å, 121.59 121.59 87.27°
Atoms (fractional coordinates):
Cs1 0.250 0.750 0.500
Cs2 0.750 0.250 0.500
Ag1 0.000 0.000 0.000
Au1 0.500 0.500 0.000
Br1 0.270 0.270 0.541
Br2 0.270 0.730 0.000
Br3 0.730 0.270 0.000
Br4 0.730 0.730 0.459
Cl1 0.209 0.209 0.000
Cl2 0.791 0.791 0.000

Largest 10 diffraction maxima, sorted by position, 2θ = 5–70°:
2θ/deg	Rel. int.
15.46	22.3
22.47	100.0
23.01	19.2
27.84	25.6
31.20	37.3
32.77	67.3
40.10	41.7
45.87	48.0
47.02	22.8
57.51	24.3

***

# 5
For Pr2BiO4, the GGA-PBE geometry in OQMD gives the computed PXRD pattern in this record (Cu Kα X-rays).

Cell and atoms:
Cell: 7.213 7.213 7.213 Å, 60.00 60.00 60.00°
Atoms (fractional coordinates):
Pr1 0.000 0.000 0.000
Pr2 0.000 0.000 0.500
Pr3 0.000 0.500 0.000
Pr4 0.500 0.000 0.000
Bi1 0.375 0.375 0.375
Bi2 0.625 0.625 0.625
O1 0.205 0.765 0.765
O2 0.235 0.235 0.235
O3 0.235 0.235 0.795
O4 0.235 0.795 0.235
O5 0.765 0.205 0.765
O6 0.765 0.765 0.205
O7 0.765 0.765 0.765
O8 0.795 0.235 0.235

Largest 10 diffraction maxima, sorted by position, 2θ = 5–70°:
2θ/deg	Rel. int.
24.69	40.0
29.03	100.0
30.35	17.5
43.46	17.7
46.25	41.2
50.62	39.3
57.11	7.8
59.42	13.9
60.17	9.1
68.88	10.0

***

# 6
For HfMgNO, the GGA-PBE geometry in OQMD gives the computed PXRD pattern in this record (Cu Kα X-rays).

Cell and atoms:
Cell: 4.392 3.527 6.495 Å, 90.00 90.00 90.00°
Atoms (fractional coordinates):
Hf1 0.250 0.000 0.149
Hf2 0.750 0.000 0.851
Mg1 0.250 0.500 0.661
Mg2 0.750 0.500 0.339
N1 0.250 0.000 0.825
N2 0.750 0.000 0.175
O1 0.250 0.500 0.352
O2 0.750 0.500 0.648

Largest 10 diffraction maxima, sorted by position, 2θ = 5–70°:
2θ/deg	Rel. int.
13.63	94.1
24.46	98.1
25.25	67.1
28.80	82.1
34.34	76.5
35.44	100.0
41.10	46.2
43.10	68.4
49.39	48.5
66.14	39.0

***

# 7
For TmSc2Cu4Si4, the GGA-PBE geometry in OQMD gives the computed PXRD pattern in this record (Cu Kα X-rays).

Cell and atoms:
Cell: 7.597 7.597 7.597 Å, 149.83 129.32 60.12°
Atoms (fractional coordinates):
Tm1 0.000 0.000 0.000
Sc1 0.374 0.874 0.500
Sc2 0.626 0.126 0.500
Cu1 0.022 0.329 0.694
Cu2 0.365 0.671 0.694
Cu3 0.635 0.329 0.306
Cu4 0.978 0.671 0.306
Si1 0.220 0.220 0.000
Si2 0.318 0.500 0.818
Si3 0.682 0.500 0.182
Si4 0.780 0.780 0.000

Largest 10 diffraction maxima, sorted by position, 2θ = 5–70°:
2θ/deg	Rel. int.
15.20	51.1
29.73	43.8
30.45	47.5
36.42	100.0
36.87	32.6
38.20	78.8
41.19	29.3
45.90	37.1
46.75	41.5
50.23	29.6

***

# 8
For RbTmPdSe3, the GGA-PBE geometry in OQMD gives the computed PXRD pattern in this record (Cu Kα X-rays).

Cell and atoms:
Cell: 15.434 4.131 10.820 Å, 90.00 90.00 90.00°
Atoms (fractional coordinates):
Rb1 0.235 0.250 0.040
Rb2 0.265 0.750 0.540
Rb3 0.735 0.250 0.460
Rb4 0.765 0.750 0.960
Tm1 0.025 0.250 0.345
Tm2 0.475 0.750 0.845
Tm3 0.525 0.250 0.155
Tm4 0.975 0.750 0.655
Pd1 0.010 0.750 0.092
Pd2 0.490 0.250 0.592
Pd3 0.510 0.750 0.408
Pd4 0.990 0.250 0.908
Se1 0.079 0.750 0.879
Se2 0.093 0.250 0.582
Se3 0.133 0.750 0.257
Se4 0.367 0.250 0.757
Se5 0.407 0.750 0.082
Se6 0.421 0.250 0.379
Se7 0.579 0.750 0.621
Se8 0.593 0.250 0.918
Se9 0.633 0.750 0.243
Se10 0.867 0.250 0.743
Se11 0.907 0.750 0.418
Se12 0.921 0.250 0.121

Largest 10 diffraction maxima, sorted by position, 2θ = 5–70°:
2θ/deg	Rel. int.
11.47	100.0
28.92	52.3
32.35	37.9
32.82	13.4
35.16	20.2
40.09	31.7
43.83	21.6
44.41	13.7
48.96	15.8
49.82	14.4

***

# 9
For Tb2Tm2Ni, the GGA-PBE geometry in OQMD gives the computed PXRD pattern in this record (Cu Kα X-rays).

Cell and atoms:
Cell: 5.194 5.194 10.769 Å, 90.00 90.00 120.00°
Atoms (fractional coordinates):
Tb1 0.333 0.667 0.097
Tb2 0.333 0.667 0.403
Tb3 0.667 0.333 0.597
Tb4 0.667 0.333 0.903
Tm1 0.000 0.000 0.000
Tm2 0.000 0.000 0.500
Tm3 0.333 0.667 0.750
Tm4 0.667 0.333 0.250
Ni1 0.000 0.000 0.250
Ni2 0.000 0.000 0.750

Largest 10 diffraction maxima, sorted by position, 2θ = 5–70°:
2θ/deg	Rel. int.
25.81	14.0
31.90	80.8
34.54	100.0
38.99	20.1
47.72	26.5
53.06	8.2
55.09	11.1
60.23	26.5
61.88	18.5
64.86	8.8